Record 1
Structure and computed X-ray diffraction stick pattern of MnNb4FeO12 (a structure optimized by DFT (PBE+U); Cu Kα (weighted mean of Kα1 and Kα2)).

Crystal structure
```
MnNb4FeO12
1.0
5.130 0.000 0.000
0.000 14.565 0.000
0.000 0.000 5.883
Mn Nb Fe O
2 8 2 24
direct
0.000 0.000 0.079
0.500 0.500 0.921
0.001 0.162 0.568
0.003 0.339 0.067
0.497 0.839 0.933
0.499 0.662 0.432
0.501 0.338 0.432
0.503 0.161 0.933
0.997 0.661 0.067
0.999 0.838 0.568
0.000 0.500 0.577
0.500 0.000 0.423
0.147 0.420 0.864
0.154 0.081 0.370
0.170 0.756 0.878
0.171 0.745 0.378
0.179 0.403 0.350
0.181 0.099 0.852
0.319 0.599 0.148
0.321 0.903 0.650
0.329 0.245 0.622
0.330 0.256 0.122
0.346 0.581 0.630
0.353 0.920 0.136
0.647 0.080 0.136
0.654 0.419 0.630
0.670 0.744 0.122
0.671 0.755 0.622
0.679 0.097 0.650
0.681 0.401 0.148
0.819 0.901 0.852
0.821 0.597 0.350
0.829 0.255 0.378
0.830 0.244 0.878
0.846 0.919 0.370
0.853 0.580 0.864
```

Most intense lines, 2θ from 10° to 90°, by angle:
| 2θ (°) | I_rel | h k l |
| --- | --- | --- |
| 23.77 | 32 | 0 3 1 |
| 29.53 | 100 | 1 3 1 |
| 34.98 | 13 | 2 0 0 |
| 35.17 | 13 | 1 0 2 |
| 50.17 | 14 | 0 3 3 |
| 51.86 | 17 | 2 6 0 |
| 51.99 | 21 | 1 6 2 |
| 59.42 | 14 | 3 3 1 |


Record 2
Structure and computed X-ray diffraction stick pattern of MnNb8Fe3O24 (a structure optimized by DFT (PBE+U); Cu Kα (weighted mean of Kα1 and Kα2)).

Crystal structure
```
MnNb8Fe3O24
1.0
5.102 0.000 0.000
0.015 5.830 0.000
0.062 0.066 14.380
Mn Nb Fe O
1 8 3 24
direct
0.000 0.000 0.000
0.000 0.024 0.342
0.000 0.524 0.161
0.001 0.021 0.659
0.002 0.518 0.838
0.500 0.661 0.341
0.501 0.157 0.838
0.502 0.658 0.659
0.503 0.162 0.161
0.000 0.496 0.500
0.498 0.685 0.000
0.501 0.186 0.500
0.160 0.225 0.422
0.162 0.722 0.079
0.169 0.213 0.754
0.171 0.714 0.743
0.174 0.735 0.405
0.180 0.239 0.098
0.324 0.444 0.903
0.327 0.947 0.595
0.331 0.469 0.246
0.331 0.968 0.256
0.338 0.956 0.920
0.340 0.458 0.578
0.658 0.961 0.078
0.661 0.459 0.422
0.670 0.462 0.754
0.671 0.963 0.743
0.674 0.950 0.405
0.677 0.450 0.097
0.824 0.227 0.902
0.827 0.733 0.595
0.830 0.719 0.256
0.832 0.217 0.245
0.833 0.710 0.920
0.840 0.223 0.578
```

Most intense lines, 2θ from 10° to 90°, by angle:
| 2θ (°) | I_rel | h k l |
| --- | --- | --- |
| 23.98 | 30 | 0 1 3 |
| 24.09 | 19 | 0 1 -3 |
| 29.70 | 34 | 1 1 3 |
| 29.85 | 100 | 1 -1 3 |
| 35.18 | 18 | 2 0 0 |
| 35.47 | 20 | 1 2 0 |
| 52.53 | 19 | 2 0 -6 |
| 52.70 | 15 | 1 -2 6 |